(1)
For TiCrAgS4, DFT lattice parameters and positions (GGA-PBE) gives the simulated powder XRD pattern in this record (Cu Kα).
Neutral-atom scattering factors, no anomalous dispersion.

Atomic structure:
Lattice parameters (Å, degrees): 6.9379 13.3532 5.9400 90.00 90.00 90.00
Element x y z (fractional)
Ti (0.0000, 0.0000, 0.0000)
Ti (0.0000, 0.5000, 0.0000)
Ti (0.5000, 0.0000, 0.0000)
Ti (0.5000, 0.5000, 0.0000)
Cr (0.2500, 0.0016, 0.4997)
Cr (0.2500, 0.4984, 0.4997)
Cr (0.7500, 0.5016, 0.5003)
Cr (0.7500, 0.9984, 0.5003)
Ag (0.2500, 0.2500, 0.1610)
Ag (0.2500, 0.7500, 0.4777)
Ag (0.7500, 0.2500, 0.5223)
Ag (0.7500, 0.7500, 0.8390)
S (0.0019, 0.1043, 0.3378)
S (0.0019, 0.3957, 0.3378)
S (0.2500, 0.1041, 0.8325)
S (0.2500, 0.3959, 0.8325)
S (0.2500, 0.6038, 0.1686)
S (0.2500, 0.8962, 0.1686)
S (0.4981, 0.1043, 0.3378)
S (0.4981, 0.3957, 0.3378)
S (0.5019, 0.6043, 0.6622)
S (0.5019, 0.8957, 0.6622)
S (0.7500, 0.1038, 0.8314)
S (0.7500, 0.3962, 0.8314)
S (0.7500, 0.6041, 0.1675)
S (0.7500, 0.8959, 0.1675)
S (0.9981, 0.6043, 0.6622)
S (0.9981, 0.8957, 0.6622)

The 8 most intense peaks (2θ from 10° to 90°), low angle first:
- 2θ 20.78, intensity 100
- 2θ 28.16, intensity 50
- 2θ 29.01, intensity 34
- 2θ 36.14, intensity 69
- 2θ 36.37, intensity 49
- 2θ 40.47, intensity 98
- 2θ 40.66, intensity 40
- 2θ 53.27, intensity 57

(2)
For TiCrAgS4, DFT lattice parameters and positions (GGA-PBE) gives the simulated powder XRD pattern in this record (Cu Kα).
Neutral-atom scattering factors, no anomalous dispersion.

Atomic structure:
Lattice parameters (Å, degrees): 7.2615 7.2615 7.2615 119.82 119.10 90.94
Element x y z (fractional)
Ti (0.2213, 0.2500, 0.4713)
Ti (0.2787, 0.7500, 0.0287)
Cr (0.2500, 0.2548, 0.0048)
Cr (0.7500, 0.2452, 0.4952)
Ag (0.6210, 0.8710, 0.7500)
Ag (0.8790, 0.6290, 0.2500)
S (0.0088, 0.4795, 0.9634)
S (0.0126, 0.4953, 0.5310)
S (0.0160, 0.0453, 0.5366)
S (0.0357, 0.0047, 0.0172)
S (0.4643, 0.4816, 0.9690)
S (0.4840, 0.0205, 0.0293)
S (0.4874, 0.0184, 0.4828)
S (0.4912, 0.4547, 0.4707)

The 8 most intense peaks (2θ from 10° to 90°), low angle first:
- 2θ 24.51, intensity 100
- 2θ 28.55, intensity 64
- 2θ 28.73, intensity 55
- 2θ 28.99, intensity 60
- 2θ 45.46, intensity 24
- 2θ 45.65, intensity 36
- 2θ 46.27, intensity 26
- 2θ 50.27, intensity 79

(3)
For TiCrAgS4, DFT lattice parameters and positions (GGA-PBE) gives the simulated powder XRD pattern in this record (Cu Kα).
Neutral-atom scattering factors, no anomalous dispersion.

Atomic structure:
Lattice parameters (Å, degrees): 3.4749 11.2661 12.8746 90.00 90.00 90.00
Element x y z (fractional)
Ti (0.0000, 0.1785, 0.0000)
Ti (0.0000, 0.1997, 0.5292)
Ti (0.5000, 0.8003, 0.0292)
Ti (0.5000, 0.8215, 0.5000)
Cr (0.0000, 0.6632, 0.3216)
Cr (0.0000, 0.6910, 0.8001)
Cr (0.5000, 0.3090, 0.3001)
Cr (0.5000, 0.3368, 0.8216)
Ag (0.0000, 0.4964, 0.6008)
Ag (0.0000, 0.9989, 0.7315)
Ag (0.5000, 0.0011, 0.2315)
Ag (0.5000, 0.5036, 0.1008)
S (0.0000, 0.1670, 0.3414)
S (0.0000, 0.2846, 0.7032)
S (0.0000, 0.3774, 0.9448)
S (0.0000, 0.4520, 0.2602)
S (0.0000, 0.6575, 0.9808)
S (0.0000, 0.7863, 0.6259)
S (0.0000, 0.8693, 0.3742)
S (0.0000, 0.9502, 0.0586)
S (0.5000, 0.0498, 0.5586)
S (0.5000, 0.1307, 0.8742)
S (0.5000, 0.2137, 0.1259)
S (0.5000, 0.3425, 0.4808)
S (0.5000, 0.5480, 0.7602)
S (0.5000, 0.6226, 0.4448)
S (0.5000, 0.7154, 0.2032)
S (0.5000, 0.8330, 0.8414)

The 8 most intense peaks (2θ from 10° to 90°), low angle first:
- 2θ 20.96, intensity 58
- 2θ 27.50, intensity 64
- 2θ 33.17, intensity 45
- 2θ 34.14, intensity 100
- 2θ 34.77, intensity 48
- 2θ 41.20, intensity 68
- 2θ 41.88, intensity 55
- 2θ 52.69, intensity 49

(4)
For TiCrAgS4, DFT lattice parameters and positions (GGA-PBE) gives the simulated powder XRD pattern in this record (Cu Kα).
Neutral-atom scattering factors, no anomalous dispersion.

Atomic structure:
Lattice parameters (Å, degrees): 5.9548 3.4723 12.9513 90.00 91.73 90.00
Element x y z (fractional)
Ti (0.2472, 0.2500, 0.4975)
Ti (0.7528, 0.7500, 0.5025)
Cr (0.2668, 0.2500, 0.0072)
Cr (0.7332, 0.7500, 0.9928)
Ag (0.2320, 0.2500, 0.7588)
Ag (0.7680, 0.7500, 0.2412)
S (0.0787, 0.7500, 0.3883)
S (0.0812, 0.7500, 0.9044)
S (0.4229, 0.7500, 0.6095)
S (0.4243, 0.7500, 0.1083)
S (0.5757, 0.2500, 0.8917)
S (0.5771, 0.2500, 0.3905)
S (0.9188, 0.2500, 0.0956)
S (0.9213, 0.2500, 0.6117)

The 8 most intense peaks (2θ from 10° to 90°), low angle first:
- 2θ 16.20, intensity 69
- 2θ 16.58, intensity 55
- 2θ 29.79, intensity 57
- 2θ 32.72, intensity 44
- 2θ 40.56, intensity 53
- 2θ 40.70, intensity 55
- 2θ 41.35, intensity 100
- 2θ 53.17, intensity 57

(5)
For TiCrAgS4, DFT lattice parameters and positions (GGA-PBE) gives the simulated powder XRD pattern in this record (Cu Kα).
Neutral-atom scattering factors, no anomalous dispersion.

Atomic structure:
Lattice parameters (Å, degrees): 3.4872 12.8579 11.2166 90.00 90.00 90.00
Element x y z (fractional)
Ti (0.0000, 0.1307, 0.0000)
Ti (0.0000, 0.3469, 0.5390)
Ti (0.0000, 0.6531, 0.0390)
Ti (0.0000, 0.8693, 0.5000)
Cr (0.5000, 0.1607, 0.3658)
Cr (0.5000, 0.3593, 0.8957)
Cr (0.5000, 0.6407, 0.3957)
Cr (0.5000, 0.8393, 0.8658)
Ag (0.0000, 0.0645, 0.6917)
Ag (0.0000, 0.9355, 0.1917)
Ag (0.5000, 0.4283, 0.1992)
Ag (0.5000, 0.5717, 0.6992)
S (0.0000, 0.0400, 0.4131)
S (0.0000, 0.2841, 0.3321)
S (0.0000, 0.3184, 0.0352)
S (0.0000, 0.3970, 0.7525)
S (0.0000, 0.6030, 0.2525)
S (0.0000, 0.6816, 0.5352)
S (0.0000, 0.7159, 0.8321)
S (0.0000, 0.9600, 0.9131)
S (0.5000, 0.1029, 0.1526)
S (0.5000, 0.1793, 0.8571)
S (0.5000, 0.2156, 0.5680)
S (0.5000, 0.4662, 0.4825)
S (0.5000, 0.5338, 0.9825)
S (0.5000, 0.7844, 0.0680)
S (0.5000, 0.8207, 0.3571)
S (0.5000, 0.8971, 0.6526)

The 8 most intense peaks (2θ from 10° to 90°), low angle first:
- 2θ 21.02, intensity 50
- 2θ 27.61, intensity 71
- 2θ 33.12, intensity 40
- 2θ 34.10, intensity 100
- 2θ 34.91, intensity 44
- 2θ 35.89, intensity 51
- 2θ 41.19, intensity 39
- 2θ 41.94, intensity 57

(6)
For TiCrAgS4, DFT lattice parameters and positions (GGA-PBE) gives the simulated powder XRD pattern in this record (Cu Kα).
Neutral-atom scattering factors, no anomalous dispersion.

Atomic structure:
Lattice parameters (Å, degrees): 7.3080 7.1902 10.6454 90.00 90.00 90.00
Element x y z (fractional)
Ti (0.0040, 0.2500, 0.2462)
Ti (0.4960, 0.7500, 0.7462)
Ti (0.5040, 0.2500, 0.2538)
Ti (0.9960, 0.7500, 0.7538)
Cr (0.2494, 0.2500, 0.6100)
Cr (0.2506, 0.7500, 0.1100)
Cr (0.7494, 0.2500, 0.8900)
Cr (0.7506, 0.7500, 0.3900)
Ag (0.2410, 0.7500, 0.3872)
Ag (0.2590, 0.2500, 0.8872)
Ag (0.7410, 0.7500, 0.1128)
Ag (0.7590, 0.2500, 0.6128)
S (0.0221, 0.7500, 0.9784)
S (0.0298, 0.2500, 0.4730)
S (0.2474, 0.5164, 0.7285)
S (0.2474, 0.9836, 0.7285)
S (0.2526, 0.0164, 0.2285)
S (0.2526, 0.4836, 0.2285)
S (0.4702, 0.7500, 0.9730)
S (0.4779, 0.2500, 0.4784)
S (0.5221, 0.7500, 0.5216)
S (0.5298, 0.2500, 0.0270)
S (0.7474, 0.5164, 0.7715)
S (0.7474, 0.9836, 0.7715)
S (0.7526, 0.0164, 0.2715)
S (0.7526, 0.4836, 0.2715)
S (0.9702, 0.7500, 0.5270)
S (0.9779, 0.2500, 0.0216)

The 8 most intense peaks (2θ from 10° to 90°), low angle first:
- 2θ 24.36, intensity 22
- 2θ 24.77, intensity 68
- 2θ 28.04, intensity 59
- 2θ 28.66, intensity 100
- 2θ 37.48, intensity 32
- 2θ 42.00, intensity 27
- 2θ 46.09, intensity 37
- 2θ 49.37, intensity 77